(1)
The following is a computed powder diffractogram of K2MgCdSb2. It was derived from a GGA-PBE-relaxed structure, using Cu Kα X-rays.
No peak broadening, texture or thermal motion is included.

Peak list (10 most intense, 2θ from 5° to 70°, most intense first)
two_theta  d [Å]  I/Imax
33.95  2.640  100.0
21.29  4.174  86.2
37.32  2.410  82.9
28.27  3.156  74.0
10.58  8.360  67.1
47.45  1.916  45.6
53.81  1.704  35.8
43.37  2.087  32.6
65.18  1.431  28.3
41.89  2.156  25.4

Structural model:
Lattice parameters (Å, degrees): 4.8170 4.8170 8.3598 90.00 90.00 90.00
Element x y z (fractional)
K1 0.0000 0.5000 0.1513
K2 0.5000 0.0000 0.8487
Mg1 0.0000 0.0000 0.5000
Cd1 0.5000 0.5000 0.5000
Sb1 0.0000 0.5000 0.7076
Sb2 0.5000 0.0000 0.2924

(2)
The following is a computed powder diffractogram of DyAlNO. It was derived from a GGA-PBE-relaxed structure, using Cu Kα X-rays.
No peak broadening, texture or thermal motion is included.

Peak list (10 most intense, 2θ from 5° to 70°, most intense first)
two_theta  d [Å]  I/Imax
33.92  2.643  100.0
11.20  7.898  70.9
27.51  3.243  54.5
35.07  2.559  31.2
36.33  2.473  30.8
51.38  1.778  20.1
63.82  1.458  17.8
62.18  1.493  17.2
34.06  2.633  16.5
36.93  2.434  14.0

Structural model:
Lattice parameters (Å, degrees): 5.1172 7.8979 4.9463 90.00 90.00 90.00
Element x y z (fractional)
Dy1 0.0096 0.1330 0.0000
Dy2 0.4904 0.1330 0.5000
Dy3 0.5096 0.8670 0.0000
Dy4 0.9904 0.8670 0.5000
Al1 0.0582 0.6152 0.9648
Al2 0.4418 0.6152 0.4648
Al3 0.5582 0.3848 0.9648
Al4 0.9418 0.3848 0.4648
N1 0.0073 0.8391 0.0004
N2 0.4927 0.8391 0.5004
N3 0.5073 0.1609 0.0004
N4 0.9927 0.1609 0.5004
O1 0.1227 0.5569 0.6094
O2 0.3773 0.5569 0.1094
O3 0.6227 0.4431 0.6094
O4 0.8773 0.4431 0.1094

(3)
The following is a computed powder diffractogram of Ho4BrN2Cl. It was derived from a GGA-PBE-relaxed structure, using Cu Kα X-rays.
No peak broadening, texture or thermal motion is included.

Peak list (10 most intense, 2θ from 5° to 70°, most intense first)
two_theta  d [Å]  I/Imax
35.41  2.535  100.0
29.26  3.052  24.5
51.89  1.762  24.2
39.60  2.276  19.6
67.18  1.393  19.2
64.39  1.447  17.4
30.00  2.979  14.6
12.96  6.829  13.5
49.98  1.825  13.1
69.13  1.359  11.6

Structural model:
Lattice parameters (Å, degrees): 3.5244 3.5244 13.6571 90.00 90.00 120.00
Element x y z (fractional)
Ho1 0.0000 0.0000 0.1546
Ho2 0.0000 0.0000 0.8454
Ho3 0.3333 0.6667 0.3365
Ho4 0.3333 0.6667 0.6635
Br1 0.0000 0.0000 0.5000
N1 0.6667 0.3333 0.2429
N2 0.6667 0.3333 0.7571
Cl1 0.3333 0.6667 0.0000

(4)
The following is a computed powder diffractogram of DyScFe2Si2C. It was derived from a GGA-PBE-relaxed structure, using Cu Kα X-rays.
No peak broadening, texture or thermal motion is included.

Peak list (10 most intense, 2θ from 5° to 70°, most intense first)
two_theta  d [Å]  I/Imax
37.59  2.393  100.0
34.95  2.567  93.1
17.39  5.101  59.9
36.12  2.487  46.6
40.94  2.204  36.8
35.18  2.551  35.2
42.65  2.120  34.3
25.59  3.480  30.4
60.75  1.525  30.1
47.10  1.930  30.0

Structural model:
Lattice parameters (Å, degrees): 10.4028 3.8592 6.5909 90.00 129.25 90.00
Element x y z (fractional)
Dy1 0.0000 0.0000 0.0000
Dy2 0.5000 0.5000 0.0000
Sc1 0.1185 0.0000 0.6553
Sc2 0.6185 0.5000 0.6553
Fe1 0.2657 0.5000 0.1389
Fe2 0.3589 0.0000 0.5215
Fe3 0.7657 0.0000 0.1389
Fe4 0.8589 0.5000 0.5215
Si1 0.2172 0.5000 0.4381
Si2 0.4043 0.0000 0.2250
Si3 0.7172 0.0000 0.4381
Si4 0.9043 0.5000 0.2250
C1 0.0660 0.5000 0.8242
C2 0.5660 0.0000 0.8242

(5)
The following is a computed powder diffractogram of SrTb2O4. It was derived from a GGA-PBE-relaxed structure, using Cu Kα X-rays.
No peak broadening, texture or thermal motion is included.

Peak list (10 most intense, 2θ from 5° to 70°, most intense first)
two_theta  d [Å]  I/Imax
30.51  2.930  100.0
31.34  2.854  87.7
29.90  2.988  48.6
44.02  2.057  43.1
31.54  2.837  42.0
54.62  1.680  34.2
53.44  1.715  33.6
62.76  1.480  26.4
44.60  2.032  24.7
54.99  1.670  19.9

Structural model:
Lattice parameters (Å, degrees): 10.0851 3.4313 11.9520 90.00 90.00 90.00
Element x y z (fractional)
Sr1 0.2473 0.2500 0.1492
Sr2 0.2527 0.7500 0.6492
Sr3 0.7473 0.2500 0.3508
Sr4 0.7527 0.7500 0.8508
Tb1 0.0781 0.2500 0.3881
Tb2 0.0778 0.2500 0.8888
Tb3 0.4222 0.7500 0.3888
Tb4 0.4219 0.7500 0.8881
Tb5 0.5781 0.2500 0.1119
Tb6 0.5778 0.2500 0.6112
Tb7 0.9222 0.7500 0.1112
Tb8 0.9219 0.7500 0.6119
O1 0.0172 0.7500 0.7827
O2 0.0754 0.2500 0.5779
O3 0.1274 0.7500 0.0203
O4 0.2106 0.7500 0.3222
O5 0.2894 0.2500 0.8222
O6 0.3726 0.2500 0.5203
O7 0.4246 0.7500 0.0779
O8 0.4828 0.2500 0.2827
O9 0.5172 0.7500 0.7173
O10 0.5754 0.2500 0.9221
O11 0.6274 0.7500 0.4797
O12 0.7106 0.7500 0.1778
O13 0.7894 0.2500 0.6778
O14 0.8726 0.2500 0.9797
O15 0.9246 0.7500 0.4221
O16 0.9828 0.2500 0.2173

(6)
The following is a computed powder diffractogram of Nd2TmMg4In2. It was derived from a GGA-PBE-relaxed structure, using Cu Kα X-rays.
No peak broadening, texture or thermal motion is included.

Peak list (10 most intense, 2θ from 5° to 70°, most intense first)
two_theta  d [Å]  I/Imax
30.13  2.966  100.0
32.86  2.726  91.1
13.29  6.664  63.5
33.25  2.694  48.9
29.81  2.998  42.1
37.97  2.370  36.9
52.96  1.729  23.7
53.46  1.714  21.4
63.66  1.462  19.6
26.76  3.332  18.0

Structural model:
Lattice parameters (Å, degrees): 4.7394 7.6081 7.6081 118.85 90.00 90.00
Element x y z (fractional)
Nd1 0.0000 0.2148 0.7852
Nd2 0.0000 0.7852 0.2148
Tm1 0.0000 0.3481 0.3481
Mg1 0.0000 0.7714 0.7714
Mg2 0.5000 0.0221 0.0221
Mg3 0.5000 0.5376 0.7817
Mg4 0.5000 0.7817 0.5376
In1 0.5000 0.1228 0.4483
In2 0.5000 0.4483 0.1228

(7)
The following is a computed powder diffractogram of YTaCo2Sb2. It was derived from a GGA-PBE-relaxed structure, using Cu Kα X-rays.
No peak broadening, texture or thermal motion is included.

Peak list (10 most intense, 2θ from 5° to 70°, most intense first)
two_theta  d [Å]  I/Imax
41.63  2.169  100.0
29.12  3.067  77.4
41.91  2.155  25.5
41.43  2.180  24.2
68.38  1.372  19.2
60.40  1.533  15.5
10.15  8.718  13.0
51.41  1.777  11.3
51.82  1.764  10.4
25.24  3.528  8.1

Structural model:
Lattice parameters (Å, degrees): 4.3108 8.7181 6.1412 90.00 90.00 90.00
Element x y z (fractional)
Y1 0.0000 0.1211 0.0000
Y2 0.5000 0.8789 0.5000
Ta1 0.0000 0.6198 0.0112
Ta2 0.5000 0.3802 0.5112
Co1 0.0000 0.3902 0.2704
Co2 0.0000 0.8460 0.2322
Co3 0.5000 0.1540 0.7322
Co4 0.5000 0.6098 0.7704
Sb1 0.0000 0.1366 0.4989
Sb2 0.0000 0.6221 0.5165
Sb3 0.5000 0.3779 0.0165
Sb4 0.5000 0.8634 0.9989

(8)
The following is a computed powder diffractogram of NdDyCu2P4. It was derived from a GGA-PBE-relaxed structure, using Cu Kα X-rays.
No peak broadening, texture or thermal motion is included.

Peak list (10 most intense, 2θ from 5° to 70°, most intense first)
two_theta  d [Å]  I/Imax
38.43  2.343  100.0
25.33  3.516  70.5
36.23  2.479  41.5
61.95  1.498  33.6
48.39  1.881  30.4
36.33  2.473  19.9
8.94  9.891  18.9
55.40  1.659  17.2
52.25  1.751  15.6
29.84  2.994  11.9

Structural model:
Lattice parameters (Å, degrees): 3.7620 3.7620 9.8906 90.00 90.00 90.00
Element x y z (fractional)
Nd1 0.0000 0.0000 0.0000
Dy1 0.5000 0.5000 0.5352
Cu1 0.0000 0.5000 0.2738
Cu2 0.5000 0.0000 0.2738
P1 0.0000 0.0000 0.4255
P2 0.0000 0.5000 0.7615
P3 0.5000 0.0000 0.7615
P4 0.5000 0.5000 0.1243